Calculated X-ray powder pattern of Sn3Ir2S3 for Cu Kα X-rays, from the PBE geometry in the Materials Project.
Neutral-atom scattering factors, no anomalous dispersion.

Crystal structure
Lattice parameters (Å, degrees): 8.9211 8.9211 8.9211 90.00 90.00 90.00
Space group Pm-3 (No. 200)
Asymmetric unit:
1 Sn 0.0000 0.1611 0.3254 x12
2 Ir 0.2774 0.2774 0.2774 x8
3 S 0.1820 0.5000 0.3719 x12

Largest 10 diffraction maxima, most intense first, 2θ = 5–70°:
- d = 4.461 Å, I = 100, hkl 2 0 0
- d = 1.995 Å, I = 60, hkl 4 0 2
- d = 2.474 Å, I = 54, hkl 3 0 2
- d = 2.821 Å, I = 54, hkl 3 1 0
- d = 1.821 Å, I = 42, hkl 4 2 2
- d = 2.384 Å, I = 35, hkl 3 2 1
- d = 3.154 Å, I = 34, hkl 2 2 0
- d = 2.164 Å, I = 26, hkl 3 2 2
- d = 2.974 Å, I = 22, hkl 3 0 0
- d = 1.657 Å, I = 19, hkl 5 0 2